# 1
The following is a computed powder diffractogram of Co4N. It was derived from a GGA-PBE-relaxed structure, using Cu Kα, 1.54184 Å.
Peak positions follow from Bragg's law for the DFT cell and can differ from measured ones.

The 4 most intense peaks (2θ = 5–70°), most intense first:
two_theta, I (rel.)
42.08, 100
48.98, 57
23.92, 1
34.09, 1

Unit cell a=3.720 b=3.720 c=3.720 alpha=90.00 beta=90.00 gamma=90.00
Atoms (fractional coordinates):
1 Co 0.000 0.000 0.000
2 Co 0.000 0.500 0.500
3 Co 0.500 0.000 0.500
4 Co 0.500 0.500 0.000
5 N 0.500 0.500 0.500

---

# 2
The following is a computed powder diffractogram of Co2N. It was derived from a GGA-PBE-relaxed structure, using Cu Kα, 1.54184 Å.
Peak positions follow from Bragg's law for the DFT cell and can differ from measured ones.

The 10 most intense peaks (2θ = 5–70°), most intense first:
two_theta, I (rel.)
43.13, 100
40.89, 36
45.98, 30
59.21, 13
56.86, 11
65.97, 9
28.60, 8
37.74, 7
68.67, 3
67.06, 1

Unit cell a=4.414 b=4.414 c=2.832 alpha=90.00 beta=90.00 gamma=90.00
Atoms (fractional coordinates):
1 Co 0.201 0.201 0.000
2 Co 0.299 0.701 0.500
3 Co 0.701 0.299 0.500
4 Co 0.799 0.799 0.000
5 N 0.000 0.000 0.500
6 N 0.500 0.500 0.000

---

# 3
The following is a computed powder diffractogram of Nb4Co2N. It was derived from a GGA-PBE-relaxed structure, using Cu Kα, 1.54184 Å.
Peak positions follow from Bragg's law for the DFT cell and can differ from measured ones.

The 12 most intense peaks (2θ = 5–70°), most intense first:
two_theta, I (rel.)
40.26, 100
37.86, 40
68.38, 38
44.00, 27
33.56, 25
52.12, 10
70.00, 10
65.65, 9
46.83, 7
56.45, 5
54.63, 3
46.13, 3

Unit cell a=8.231 b=8.231 c=8.231 alpha=60.00 beta=60.00 gamma=60.00
Atoms (fractional coordinates):
1 Nb 0.000 0.000 0.000
2 Nb 0.000 0.000 0.500
3 Nb 0.000 0.500 0.000
4 Nb 0.189 0.189 0.561
5 Nb 0.189 0.561 0.189
6 Nb 0.189 0.561 0.561
7 Nb 0.439 0.439 0.811
8 Nb 0.439 0.811 0.439
9 Nb 0.439 0.811 0.811
10 Nb 0.500 0.000 0.000
11 Nb 0.561 0.189 0.189
12 Nb 0.561 0.189 0.561
13 Nb 0.561 0.561 0.189
14 Nb 0.811 0.439 0.439
15 Nb 0.811 0.439 0.811
16 Nb 0.811 0.811 0.439
17 Co 0.110 0.797 0.797
18 Co 0.203 0.203 0.203
19 Co 0.203 0.203 0.890
20 Co 0.203 0.890 0.203
21 Co 0.797 0.110 0.797
22 Co 0.797 0.797 0.110
23 Co 0.797 0.797 0.797
24 Co 0.890 0.203 0.203
25 N 0.000 0.500 0.500
26 N 0.500 0.000 0.500
27 N 0.500 0.500 0.000
28 N 0.500 0.500 0.500